# 1
# Ho2Zn2Cd3
Theoretical X-ray diffraction stick pattern, Cu Kα, 1.54184 Å. Input: a GGA-PBE-relaxed structure.
Intensities are scaled so that the largest is 100.

Main lines, sorted by position (10° ≤ 2θ ≤ 80°):
2θ (°)	d (Å)	intensity
29.68	3.010	21
33.27	2.693	100
35.54	2.526	21
36.71	2.448	67
36.94	2.433	69
40.94	2.205	35
53.12	1.724	18
56.31	1.634	40
66.31	1.410	22
68.56	1.369	17

Atomic structure:
a = 10.534 Å, b = 10.534 Å, c = 3.449 Å
α = 90.00°, β = 90.00°, γ = 155.84°
Fractional positions:
Ho  0.164  0.836  0.000
Ho  0.836  0.164  0.000
Zn  0.283  0.717  0.500
Zn  0.717  0.283  0.500
Cd  0.000  0.000  0.000
Cd  0.425  0.575  0.500
Cd  0.575  0.425  0.500

=====

# 2
# Na5Bi2AsC4O16
Theoretical X-ray diffraction stick pattern, Cu Kα, 1.54184 Å. Input: a GGA-PBE-relaxed structure.
Intensities are scaled so that the largest is 100.

Main lines, sorted by position (10° ≤ 2θ ≤ 80°):
2θ (°)	d (Å)	intensity
10.33	8.567	93
19.56	4.538	80
19.84	4.475	65
20.13	4.411	68
20.74	4.283	100
30.76	2.906	41
31.32	2.856	41
31.89	2.806	37
33.83	2.649	39
34.19	2.622	41

Atomic structure:
a = 10.600 Å, b = 10.498 Å, c = 10.393 Å
α = 60.97°, β = 60.00°, γ = 59.02°
Fractional positions:
Na  0.197  0.197  0.803
Na  0.197  0.803  0.197
Na  0.199  0.801  0.801
Na  0.552  0.948  0.948
Na  0.556  0.944  0.556
Na  0.801  0.199  0.199
Na  0.803  0.197  0.803
Na  0.803  0.803  0.197
Na  0.944  0.556  0.944
Na  0.948  0.552  0.552
Bi  0.365  0.875  0.383
Bi  0.377  0.383  0.875
Bi  0.383  0.377  0.365
Bi  0.875  0.365  0.377
As  0.000  0.000  0.000
As  0.750  0.750  0.750
C  0.135  0.539  0.165
C  0.161  0.165  0.539
C  0.165  0.161  0.135
C  0.222  0.589  0.599
C  0.539  0.135  0.161
C  0.589  0.222  0.589
C  0.589  0.599  0.589
C  0.599  0.589  0.222
O  0.006  0.538  0.283
O  0.032  0.178  0.541
O  0.033  0.279  0.147
O  0.147  0.541  0.033
O  0.173  0.283  0.538
O  0.178  0.032  0.249
O  0.201  0.932  0.932
O  0.219  0.470  0.728
O  0.223  0.582  0.478
O  0.226  0.712  0.595
O  0.249  0.541  0.178
O  0.279  0.033  0.541
O  0.283  0.173  0.006
O  0.467  0.595  0.712
O  0.470  0.219  0.583
O  0.478  0.718  0.223
O  0.538  0.006  0.173
O  0.541  0.147  0.279
O  0.541  0.249  0.032
O  0.548  0.833  0.811
O  0.582  0.223  0.718
O  0.583  0.728  0.470
O  0.595  0.467  0.226
O  0.712  0.226  0.467
O  0.718  0.478  0.582
O  0.728  0.583  0.219
O  0.808  0.811  0.833
O  0.811  0.808  0.548
O  0.833  0.548  0.808
O  0.932  0.201  0.934
O  0.932  0.934  0.201
O  0.934  0.932  0.932

=====

# 3
# Li2Mg9In
Theoretical X-ray diffraction stick pattern, Cu Kα, 1.54184 Å. Input: a GGA-PBE-relaxed structure.
Intensities are scaled so that the largest is 100.

Main lines, sorted by position (10° ≤ 2θ ≤ 80°):
2θ (°)	d (Å)	intensity
12.38	7.148	84
13.18	6.718	39
19.81	4.482	25
23.68	3.757	24
35.07	2.558	60
35.21	2.549	58
35.54	2.526	58
35.66	2.517	56
37.44	2.402	100
65.83	1.419	25

Atomic structure:
a = 5.145 Å, b = 7.541 Å, c = 7.849 Å
α = 66.53°, β = 76.99°, γ = 72.41°
Fractional positions:
Li  0.095  0.239  0.095
Li  0.905  0.761  0.905
Mg  0.147  0.494  0.690
Mg  0.265  0.744  0.263
Mg  0.312  0.995  0.848
Mg  0.418  0.251  0.423
Mg  0.500  0.500  0.000
Mg  0.582  0.749  0.577
Mg  0.688  0.005  0.152
Mg  0.735  0.256  0.737
Mg  0.853  0.506  0.310
In  0.000  0.000  0.500

=====

# 4
# Sm2Zn5Co5
Theoretical X-ray diffraction stick pattern, Cu Kα, 1.54184 Å. Input: a GGA-PBE-relaxed structure.
Intensities are scaled so that the largest is 100.

Main lines, sorted by position (10° ≤ 2θ ≤ 80°):
2θ (°)	d (Å)	intensity
29.59	3.019	15
29.84	2.994	43
34.72	2.584	32
35.38	2.537	17
40.05	2.251	17
40.83	2.210	27
41.40	2.181	100
41.96	2.153	46
44.53	2.035	37
67.62	1.386	22

Atomic structure:
a = 4.069 Å, b = 5.074 Å, c = 9.006 Å
α = 90.00°, β = 90.00°, γ = 90.00°
Fractional positions:
Sm  0.000  0.000  0.000
Sm  0.000  0.500  0.500
Zn  0.000  0.000  0.323
Zn  0.000  0.000  0.677
Zn  0.000  0.500  0.169
Zn  0.000  0.500  0.831
Zn  0.500  0.000  0.500
Co  0.500  0.246  0.240
Co  0.500  0.246  0.760
Co  0.500  0.500  0.000
Co  0.500  0.754  0.240
Co  0.500  0.754  0.760

=====

# 5
# La2HoAl
Theoretical X-ray diffraction stick pattern, Cu Kα, 1.54184 Å. Input: a GGA-PBE-relaxed structure.
Intensities are scaled so that the largest is 100.

Main lines, sorted by position (10° ≤ 2θ ≤ 80°):
2θ (°)	d (Å)	intensity
18.29	4.851	16
25.59	3.481	14
31.64	2.828	100
35.94	2.499	18
37.06	2.426	33
52.58	1.740	24
53.42	1.715	11
61.92	1.499	15
63.43	1.467	27
66.07	1.414	12

Atomic structure:
a = 4.851 Å, b = 4.851 Å, c = 4.998 Å
α = 90.00°, β = 90.00°, γ = 90.00°
Fractional positions:
La  0.000  0.500  0.000
La  0.500  0.000  0.000
Ho  0.000  0.000  0.500
Al  0.500  0.500  0.500

=====

# 6
# Na2B3C
Theoretical X-ray diffraction stick pattern, Cu Kα, 1.54184 Å. Input: a GGA-PBE-relaxed structure.
Intensities are scaled so that the largest is 100.

Main lines, sorted by position (10° ≤ 2θ ≤ 80°):
2θ (°)	d (Å)	intensity
34.34	2.612	13
36.36	2.471	16
40.34	2.236	49
41.74	2.164	38
42.11	2.146	100
56.53	1.628	9
62.82	1.479	18
66.71	1.402	7
76.46	1.246	13
78.29	1.221	17

Atomic structure:
a = 7.482 Å, b = 7.482 Å, c = 9.101 Å
α = 106.83°, β = 106.83°, γ = 40.86°
Fractional positions:
Na  0.051  0.050  0.252
Na  0.152  0.150  0.755
Na  0.250  0.248  0.246
Na  0.353  0.346  0.750
Na  0.449  0.449  0.248
Na  0.551  0.551  0.752
Na  0.654  0.647  0.250
Na  0.752  0.750  0.754
Na  0.850  0.848  0.245
Na  0.950  0.949  0.748
B  0.038  0.772  0.000
B  0.054  0.352  0.500
B  0.152  0.459  0.000
B  0.219  0.579  0.500
B  0.228  0.962  0.000
B  0.353  0.647  0.000
B  0.421  0.781  0.500
B  0.476  0.131  0.999
B  0.541  0.848  0.000
B  0.553  0.254  0.500
B  0.648  0.946  0.500
B  0.680  0.320  0.000
B  0.746  0.447  0.500
B  0.869  0.131  0.500
B  0.869  0.524  0.001
C  0.162  0.838  0.500
C  0.364  0.040  0.500
C  0.739  0.064  0.999
C  0.936  0.261  0.001
C  0.960  0.636  0.500

=====

# 7
# KLiLa2Se4
Theoretical X-ray diffraction stick pattern, Cu Kα, 1.54184 Å. Input: a GGA-PBE-relaxed structure.
Intensities are scaled so that the largest is 100.

Main lines, sorted by position (10° ≤ 2θ ≤ 80°):
2θ (°)	d (Å)	intensity
12.23	7.237	27
12.42	7.124	36
23.61	3.769	17
28.60	3.122	51
28.77	3.103	100
40.63	2.220	19
41.01	2.201	74
41.65	2.169	18
50.44	1.809	19
51.30	1.781	19

Atomic structure:
a = 8.804 Å, b = 8.804 Å, c = 8.804 Å
α = 120.97°, β = 119.42°, γ = 89.67°
Fractional positions:
K  0.500  0.000  0.000
K  0.500  0.500  0.500
Li  0.000  0.000  0.000
Li  0.500  0.000  0.500
La  0.000  0.000  0.500
La  0.000  0.500  0.000
La  0.000  0.500  0.500
La  0.500  0.500  0.000
Se  0.225  0.743  0.482
Se  0.238  0.257  0.982
Se  0.241  0.248  0.506
Se  0.241  0.735  0.994
Se  0.759  0.265  0.006
Se  0.759  0.752  0.494
Se  0.762  0.743  0.018
Se  0.775  0.257  0.518